Computed X-ray powder pattern of Te2Cl13 for λ = 1.5418 Å (Cu Kα), from a structure optimized by DFT (GGA-PBE).
No peak broadening, texture or thermal motion is included.

Cell and atoms:
```
15
Lattice="7.414 0.000 0.000 2.098 8.422 0.000 2.079 2.895 9.341" Properties=species:S:1:pos:R:3 pbc="T T T"
Te 2.013 1.726 2.223
Te 9.579 9.591 7.118
Cl 1.040 1.448 4.670
Cl 3.174 8.007 1.694
Cl 4.233 8.542 7.738
Cl 2.886 3.850 2.960
Cl 2.883 1.997 0.065
Cl 4.873 5.841 4.986
Cl 6.114 9.077 2.985
Cl 5.478 2.240 6.356
Cl 6.719 5.476 4.355
Cl 8.709 9.320 9.276
Cl 8.706 7.467 6.381
Cl 7.359 2.775 1.603
Cl 8.418 3.310 7.647
```

Largest 10 diffraction maxima, sorted by position, 15° ≤ 2θ ≤ 90°:
2theta	intensity
16.54	79
16.67	100
18.11	62
18.97	85
20.28	36
21.31	42
30.75	49
32.19	71
32.97	35
36.84	37

Computed X-ray powder pattern of La6SmHoTm2 for λ = 1.5418 Å (Cu Kα), from a structure optimized by DFT (GGA-PBE).
No peak broadening, texture or thermal motion is included.

Cell and atoms:
```
10
Lattice="5.677 -3.584 0.000 5.677 3.584 0.000 -2.054 0.000 8.688" Properties=species:S:1:pos:R:3 pbc="T T T"
La 3.227 1.582 1.680
La 0.687 0.000 3.818
La 6.073 1.582 7.007
La 3.227 -1.582 1.680
La 8.613 0.000 4.870
La 6.073 -1.582 7.007
Sm 4.650 0.000 4.344
Ho 0.000 0.000 0.000
Tm 2.943 0.000 7.281
Tm 6.357 0.000 1.406
```

Largest 10 diffraction maxima, sorted by position, 15° ≤ 2θ ≤ 90°:
2theta	intensity
26.78	42
29.71	60
30.21	100
30.63	44
30.88	42
31.09	70
32.39	52
32.60	41
34.23	34
55.80	32

Computed X-ray powder pattern of Y2Ho2ErTm for λ = 1.5418 Å (Cu Kα), from a structure optimized by DFT (GGA-PBE).
No peak broadening, texture or thermal motion is included.

Cell and atoms:
```
12
Lattice="6.979 0.000 0.000 0.000 5.581 0.000 0.000 0.000 9.602" Properties=species:S:1:pos:R:3 pbc="T T T"
Y 0.000 0.000 0.000
Y 1.745 2.791 1.515
Y 3.490 0.000 0.000
Y 5.234 2.791 8.087
Ho 1.745 0.000 3.311
Ho 1.745 2.791 7.877
Ho 5.234 0.000 6.290
Ho 5.234 2.791 1.725
Er 1.745 0.000 6.484
Er 5.234 0.000 3.118
Tm 0.000 2.791 4.801
Tm 3.490 2.791 4.801
```

Largest 10 diffraction maxima, sorted by position, 15° ≤ 2θ ≤ 90°:
2theta	intensity
31.66	100
32.07	38
32.24	73
45.72	25
45.88	11
56.90	12
57.08	11
57.24	27
62.81	11
62.91	21

Computed X-ray powder pattern of Ti3GeMo for λ = 1.5418 Å (Cu Kα), from a structure optimized by DFT (GGA-PBE).
No peak broadening, texture or thermal motion is included.

Cell and atoms:
```
5
Lattice="4.621 0.000 0.000 0.000 4.621 0.000 0.000 0.000 4.621" Properties=species:S:1:pos:R:3 pbc="T T T"
Ti 0.000 0.000 2.311
Ti 0.000 2.311 0.000
Ti 2.311 0.000 0.000
Ge 0.000 0.000 0.000
Mo 2.311 2.311 2.311
```

Largest 10 diffraction maxima, sorted by position, 15° ≤ 2θ ≤ 90°:
2theta	intensity
27.29	83
33.59	56
38.98	100
48.24	35
56.31	64
63.68	15
67.19	19
70.61	21
77.25	18
83.72	10

Computed X-ray powder pattern of LiMgMo for λ = 1.5418 Å (Cu Kα), from a structure optimized by DFT (GGA-PBE).
No peak broadening, texture or thermal motion is included.

Cell and atoms:
```
3
Lattice="0.000 2.101 7.204 1.681 0.000 7.204 1.681 2.101 0.000" Properties=species:S:1:pos:R:3 pbc="T T T"
Li 0.000 0.000 0.000
Mg 1.681 2.101 9.755
Mo 1.681 2.101 4.899
```

Largest 10 diffraction maxima, sorted by position, 15° ≤ 2θ ≤ 90°:
2theta	intensity
24.72	34
34.73	59
37.45	28
39.11	100
43.05	19
44.94	15
46.81	27
58.36	15
68.67	22
76.27	13